# SrPmAs2Pt2
Computed X-ray diffraction stick pattern, Cu Kα (weighted mean of Kα1 and Kα2). Input: a cell relaxed with PBE.

```
data_SrPmAs2Pt2
_chemical_formula_sum 'Sr1 Pm1 As2 Pt2'
_cell_length_a 4.3236
_cell_length_b 4.3236
_cell_length_c 8.5057
_cell_angle_alpha 90.00
_cell_angle_beta 90.00
_cell_angle_gamma 120.00
_symmetry_space_group_name_H-M 'P 1'
_symmetry_Int_Tables_number 1
loop_
_symmetry_equiv_pos_as_xyz
'x,y,z'
loop_
_atom_site_label
_atom_site_fract_x
_atom_site_fract_y
_atom_site_fract_z
Sr1 0.0000 0.0000 0.0000
Pm1 0.0000 0.0000 0.5000
As1 0.3333 0.6667 0.2636
As2 0.6667 0.3333 0.7364
Pt1 0.3333 0.6667 0.7339
Pt2 0.6667 0.3333 0.2661
```

Principal peaks in the range 2θ = 10–90°, in order of rising 2θ:
(hkl)  Position (°2θ)  d [Å]  I (rel.)
0 0 2  20.89  4.253  16
0 1 1  26.00  3.427  26
0 1 2  31.84  2.810  100
1 0 3  39.88  2.260  12
1 1 0  41.78  2.162  57
0 0 4  42.51  2.126  16
1 1 2  47.16  1.927  12
2 0 2  53.48  1.713  23
1 1 4  61.13  1.516  33
1 2 2  70.07  1.343  21